Theoretical PXRD pattern
Compound: TiCoSi
Radiation: λ = 1.5418 Å (Cu Kα)
Structure: a crystal structure in Alexandria, relaxed with GGA-PBE
Intensities are scaled so that the largest is 100.

Structural model:
Cell lengths 6.023, 6.023, 3.713 Å; angles 90.00, 90.00, 120.00 degrees
Element x y z (fractional)
Ti: 0.000 0.434 0.000
Ti: 0.434 0.000 0.000
Ti: 0.566 0.566 0.000
Co: 0.000 0.757 0.500
Co: 0.243 0.243 0.500
Co: 0.757 0.000 0.500
Si: 0.000 0.000 0.000
Si: 0.333 0.667 0.500
Si: 0.667 0.333 0.500

Peak list (10 most intense, 10 to 80 degrees two-theta, sorted by position)
hkl, d (Å), I_rel
0 0 1, 3.713, 8
1 0 1, 3.025, 13
1 1 1, 2.339, 94
2 0 1, 2.134, 100
2 1 0, 1.971, 66
0 0 2, 1.856, 34
3 0 0, 1.741, 39
2 1 2, 1.352, 34
3 1 1, 1.348, 13
4 0 0, 1.304, 8